Entry 1:
# H10IrC2Cl3O3
Theoretical powder X-ray diffraction pattern, λ = 1.5418 Å (Cu Kα). Input: the GGA-PBE geometry in the Materials Project.

Main lines, sorted by position (10 to 90 degrees two-theta):
2θ (°)  I (rel.)  hkl
12.3  46  0 1 0
12.5  48  1 0 0
13.7  100  0 1 1
14.1  91  1 0 1
17.0  83  1 -1 0
18.6  24  0 1 -1
21.6  19  0 0 2
22.2  19  1 1 2
24.5  28  1 1 -1
28.2  27  2 -1 1
28.5  21  1 2 0
40.4  24  1 1 4

Structural model:
```
data_H10IrC2Cl3O3
_chemical_formula_sum 'H20 Ir2 C4 Cl6 O6'
_space_group_name_H-M_alt 'P -1'
_space_group_IT_number 2
_cell_length_a 7.388
_cell_length_b 7.539
_cell_length_c 8.924
_cell_angle_alpha 73.08
_cell_angle_beta 74.58
_cell_angle_gamma 88.78
loop_
_space_group_symop_operation_xyz
'x,y,z'
'-x,-y,-z'
loop_
_atom_site_label
_atom_site_type_symbol
_atom_site_fract_x
_atom_site_fract_y
_atom_site_fract_z
H1 H 0.002 0.375 0.254
H2 H 0.070 0.666 0.279
H3 H 0.073 0.327 0.858
H4 H 0.174 0.737 0.062
H5 H 0.187 0.825 0.505
H6 H 0.215 0.992 0.782
H7 H 0.254 0.619 0.530
H8 H 0.340 0.746 0.703
H9 H 0.387 0.984 0.894
H10 H 0.459 0.058 0.676
Ir1 Ir 0.360 0.347 0.188
C1 C 0.066 0.647 0.163
C2 C 0.361 0.965 0.784
Cl1 Cl 0.186 0.061 0.264
Cl2 Cl 0.281 0.352 0.459
Cl3 Cl 0.457 0.365 0.906
O1 O 0.104 0.456 0.163
O2 O 0.208 0.712 0.588
O3 O 0.387 0.772 0.791
```

***

Entry 2:
# KPH12PtC2N2Cl2O4
Theoretical powder X-ray diffraction pattern, λ = 1.5418 Å (Cu Kα). Input: the GGA-PBE geometry in the Materials Project.

Main lines, sorted by position (10 to 90 degrees two-theta):
2θ (°)  I (rel.)  hkl
10.5  71  0 0 1
12.6  21  1 0 1
14.2  30  0 1 1
14.9  100  0 1 -1
21.7  39  2 0 1
22.3  26  0 2 1
23.0  72  2 0 0
23.2  26  2 1 1
24.6  49  2 1 0
30.0  24  1 0 3
30.3  26  0 3 0
32.0  18  0 0 3

Structural model:
```
data_KPH12PtC2N2Cl2O4
_chemical_formula_sum 'K2 P2 H24 Pt2 C4 N4 Cl4 O8'
_space_group_name_H-M_alt 'P -1'
_space_group_IT_number 2
_cell_length_a 8.270
_cell_length_b 8.880
_cell_length_c 8.955
_cell_angle_alpha 86.01
_cell_angle_beta 69.65
_cell_angle_gamma 85.82
loop_
_space_group_symop_operation_xyz
'x,y,z'
'-x,-y,-z'
loop_
_atom_site_label
_atom_site_type_symbol
_atom_site_fract_x
_atom_site_fract_y
_atom_site_fract_z
K1 K 0.077 0.282 0.420
P1 P 0.318 0.718 0.732
H1 H 0.098 0.696 0.994
H2 H 0.119 0.937 0.777
H3 H 0.242 0.409 0.662
H4 H 0.260 0.546 0.961
H5 H 0.272 0.599 0.439
H6 H 0.293 0.705 0.150
H7 H 0.294 0.955 0.593
H8 H 0.315 0.127 0.775
H9 H 0.357 0.304 0.528
H10 H 0.361 0.474 0.320
H11 H 0.457 0.734 0.983
H12 H 0.477 0.999 0.751
Pt1 Pt 0.278 0.984 0.044
C1 C 0.237 0.669 0.946
C2 C 0.259 0.920 0.720
N1 N 0.325 0.751 0.034
N2 N 0.344 0.015 0.799
Cl1 Cl 0.206 0.951 0.321
Cl2 Cl 0.233 0.246 0.052
O1 O 0.220 0.634 0.651
O2 O 0.260 0.302 0.631
O3 O 0.270 0.557 0.340
O4 O 0.485 0.304 0.327
```

***

- Which formula does entry 1 have?
  H10IrC2Cl3O3

***

What did the second record say?
# KPH12PtC2N2Cl2O4
Theoretical powder X-ray diffraction pattern, λ = 1.5418 Å (Cu Kα). Input: the GGA-PBE geometry in the Materials Project.

Main lines, sorted by position (10 to 90 degrees two-theta):
2θ (°)  I (rel.)  hkl
10.5  71  0 0 1
12.6  21  1 0 1
14.2  30  0 1 1
14.9  100  0 1 -1
21.7  39  2 0 1
22.3  26  0 2 1
23.0  72  2 0 0
23.2  26  2 1 1
24.6  49  2 1 0
30.0  24  1 0 3
30.3  26  0 3 0
32.0  18  0 0 3

Structural model:
```
data_KPH12PtC2N2Cl2O4
_chemical_formula_sum 'K2 P2 H24 Pt2 C4 N4 Cl4 O8'
_space_group_name_H-M_alt 'P -1'
_space_group_IT_number 2
_cell_length_a 8.270
_cell_length_b 8.880
_cell_length_c 8.955
_cell_angle_alpha 86.01
_cell_angle_beta 69.65
_cell_angle_gamma 85.82
loop_
_space_group_symop_operation_xyz
'x,y,z'
'-x,-y,-z'
loop_
_atom_site_label
_atom_site_type_symbol
_atom_site_fract_x
_atom_site_fract_y
_atom_site_fract_z
K1 K 0.077 0.282 0.420
P1 P 0.318 0.718 0.732
H1 H 0.098 0.696 0.994
H2 H 0.119 0.937 0.777
H3 H 0.242 0.409 0.662
H4 H 0.260 0.546 0.961
H5 H 0.272 0.599 0.439
H6 H 0.293 0.705 0.150
H7 H 0.294 0.955 0.593
H8 H 0.315 0.127 0.775
H9 H 0.357 0.304 0.528
H10 H 0.361 0.474 0.320
H11 H 0.457 0.734 0.983
H12 H 0.477 0.999 0.751
Pt1 Pt 0.278 0.984 0.044
C1 C 0.237 0.669 0.946
C2 C 0.259 0.920 0.720
N1 N 0.325 0.751 0.034
N2 N 0.344 0.015 0.799
Cl1 Cl 0.206 0.951 0.321
Cl2 Cl 0.233 0.246 0.052
O1 O 0.220 0.634 0.651
O2 O 0.260 0.302 0.631
O3 O 0.270 0.557 0.340
O4 O 0.485 0.304 0.327
```